No. 1
Calculated powder X-ray diffraction pattern
Compound: NaMnOF
Radiation: Cu Kα (λ = 1.5418 Å)
Structure: a crystal structure in Alexandria, relaxed with PBE+U

Cell and atoms:
```
NaMnOF
1.0
1.641 0.947 5.441
-1.641 0.947 5.441
0.000 -1.895 5.441
Na Mn O F
1 1 1 1
Cartesian
0.000 0.000 0.000 Na
0.000 0.000 7.901 Mn
0.000 0.000 12.426 O
0.000 0.000 4.006 F
```

Most intense lines, 2θ from 10° to 80°, by angle:
2theta	I_rel
16.3	35
32.0	13
32.9	10
33.4	24
38.6	100
55.4	25
56.0	31
70.1	13

---

No. 2
Calculated powder X-ray diffraction pattern
Compound: Na2MnPO5F2
Radiation: Cu Kα (λ = 1.5418 Å)
Structure: a crystal structure in Alexandria, relaxed with PBE+U

Cell and atoms:
```
Na2MnPO5F2
1.0
5.263 0.000 0.000
0.000 8.832 0.000
-0.474 0.000 5.993
Na Mn P O F
4 2 2 10 4
Cartesian
0.000 0.000 0.000 Na
0.000 4.416 0.000 Na
1.974 2.208 5.777 Na
2.815 6.624 0.216 Na
2.394 0.000 2.996 Mn
2.394 4.416 2.996 Mn
-0.215 2.208 3.416 P
5.003 6.624 2.577 P
0.257 2.208 1.747 O
0.221 6.624 5.209 O
0.493 0.949 3.915 O
0.493 3.467 3.915 O
1.267 6.624 2.564 O
3.521 2.208 3.429 O
4.296 5.365 2.077 O
4.296 7.883 2.077 O
4.567 2.208 0.784 O
4.531 6.624 4.245 O
1.931 0.303 1.097 F
1.931 4.113 1.097 F
2.858 4.720 4.895 F
2.858 8.529 4.895 F
```

Most intense lines, 2θ from 10° to 80°, by angle:
2theta	I_rel
14.8	47
26.4	68
29.7	100
31.0	55
31.5	21
34.2	32
40.9	42
57.6	28

---

No. 3
Calculated powder X-ray diffraction pattern
Compound: Na5Mn3S4O16F4
Radiation: Cu Kα (λ = 1.5418 Å)
Structure: a crystal structure in Alexandria, relaxed with PBE+U

Cell and atoms:
```
Na5Mn3S4O16F4
1.0
6.727 0.000 0.000
-0.276 6.789 0.000
-1.083 -0.832 9.020
Na Mn S O F
5 3 4 16 4
Cartesian
0.000 0.000 0.000 Na
0.772 2.893 5.947 Na
2.906 5.009 0.146 Na
2.462 0.947 8.874 Na
4.596 3.063 3.073 Na
-0.138 3.394 0.000 Mn
0.899 5.403 3.217 Mn
4.469 0.553 5.803 Mn
1.259 2.107 2.528 S
1.102 -0.269 6.320 S
4.266 6.226 2.700 S
4.109 3.850 6.492 S
0.232 2.037 1.382 O
-0.077 0.576 5.977 O
0.783 3.142 3.496 O
1.223 0.783 3.151 O
0.885 5.341 5.400 O
0.760 6.051 7.733 O
2.568 2.454 1.971 O
2.309 0.601 6.158 O
3.059 5.355 2.862 O
2.800 3.502 7.049 O
4.608 -0.095 1.287 O
4.483 0.615 3.620 O
4.145 5.174 5.870 O
4.585 2.814 5.524 O
5.445 5.380 3.043 O
5.136 3.919 7.638 O
0.754 5.058 1.085 F
0.515 2.373 8.290 F
4.853 3.583 0.730 F
4.614 0.898 7.935 F
```

Most intense lines, 2θ from 10° to 80°, by angle:
2theta	I_rel
15.6	50
26.7	46
27.3	100
29.0	41
29.7	90
30.4	52
33.2	26
49.7	25

---

No. 4
Calculated powder X-ray diffraction pattern
Compound: Na4Zr2TiMnSi4O16F2
Radiation: Cu Kα (λ = 1.5418 Å)
Structure: a crystal structure in Alexandria, relaxed with PBE+U

Cell and atoms:
```
Na4Zr2TiMnSi4O16F2
1.0
5.660 0.000 0.000
0.000 7.191 0.000
-4.033 0.000 18.247
Na Zr Ti Mn Si O F
8 4 2 2 8 32 4
Cartesian
-1.008 0.790 4.562 Na
-3.025 6.401 13.685 Na
0.887 0.819 1.277 Na
-1.130 6.372 10.400 Na
1.822 2.499 4.562 Na
-0.195 4.692 13.685 Na
2.757 0.819 7.847 Na
0.740 6.372 16.971 Na
-1.186 2.722 10.493 Zr
0.830 4.469 1.369 Zr
0.797 2.722 16.878 Zr
2.813 4.469 7.755 Zr
-3.025 2.811 13.685 Ti
-1.008 4.380 4.562 Ti
-0.195 1.076 13.685 Mn
1.822 6.115 4.562 Mn
-2.055 0.814 16.328 Si
-0.038 6.377 7.205 Si
-0.019 2.460 7.202 Si
-2.036 4.731 16.325 Si
3.663 2.460 1.922 Si
1.646 4.731 11.046 Si
1.665 0.814 11.043 Si
3.682 6.377 1.919 Si
-3.370 1.255 17.179 O
-1.353 5.936 8.055 O
-1.253 2.944 8.188 O
-3.269 4.247 17.311 O
-0.253 2.991 5.671 O
-2.270 4.200 14.794 O
-2.072 1.358 14.775 O
-0.055 5.833 5.651 O
-1.453 2.660 12.510 O
0.564 4.531 3.386 O
-0.093 0.826 7.100 O
-2.109 6.365 16.224 O
2.181 2.895 1.431 O
0.164 4.296 10.554 O
0.252 1.256 10.344 O
2.269 5.935 1.221 O
-0.642 1.256 17.027 O
1.375 5.935 7.903 O
1.463 2.895 7.693 O
-0.554 4.296 16.817 O
3.736 0.826 2.024 O
1.720 6.365 11.147 O
1.063 2.660 14.861 O
3.080 4.531 5.738 O
1.682 1.358 12.596 O
3.699 5.833 3.472 O
3.897 2.991 3.453 O
1.881 4.200 12.577 O
4.896 2.944 0.936 O
2.880 4.247 10.060 O
2.980 1.255 10.192 O
4.997 5.936 1.069 O
0.949 0.582 3.510 F
-1.068 6.609 12.634 F
2.695 0.582 5.614 F
0.678 6.609 14.737 F
```

Most intense lines, 2θ from 10° to 80°, by angle:
2theta	I_rel
13.2	27
25.7	17
29.4	60
30.6	100
34.1	29
36.4	24
48.8	27
50.8	18

---

No. 5
Calculated powder X-ray diffraction pattern
Compound: Na2MnPdF6
Radiation: Cu Kα (λ = 1.5418 Å)
Structure: a crystal structure in Alexandria, relaxed with PBE+U

Cell and atoms:
```
Na2MnPdF6
1.0
5.319 0.000 0.000
-0.002 5.611 0.000
-2.604 -2.800 4.878
Na Mn Pd F
2 1 1 6
Cartesian
0.000 0.000 0.000 Na
-0.192 0.005 4.836 Na
-0.097 3.121 2.419 Mn
2.564 0.247 2.419 Pd
-1.591 -1.130 3.291 F
-1.463 1.604 3.216 F
1.270 1.603 1.623 F
1.399 4.481 1.546 F
0.716 -2.144 4.231 F
4.411 3.462 0.605 F
```

Most intense lines, 2θ from 10° to 80°, by angle:
2theta	I_rel
18.2	67
23.0	79
29.4	64
29.6	100
31.9	19
32.4	20
47.1	39
51.1	23

---

No. 6
Calculated powder X-ray diffraction pattern
Compound: NaMnTlF4
Radiation: Cu Kα (λ = 1.5418 Å)
Structure: a crystal structure in Alexandria, relaxed with PBE+U

Cell and atoms:
```
NaMnTlF4
1.0
5.916 0.000 0.000
0.000 5.944 0.000
-1.560 0.000 7.322
Na Mn Tl F
2 2 2 8
Cartesian
0.315 1.486 3.404 Na
4.041 4.458 3.918 Na
1.099 4.458 5.114 Mn
3.257 1.486 2.209 Mn
0.468 4.458 0.976 Tl
3.888 1.486 6.347 Tl
-0.317 3.003 5.065 F
-0.317 5.913 5.065 F
1.495 1.486 1.295 F
1.814 4.458 3.200 F
2.542 1.486 4.122 F
2.861 4.458 6.028 F
4.673 0.031 2.257 F
4.673 2.941 2.257 F
```

Most intense lines, 2θ from 10° to 80°, by angle:
2theta	I_rel
15.3	49
17.4	61
21.4	62
26.2	88
28.6	65
30.1	100
35.0	56
38.9	35

---

No. 7
Calculated powder X-ray diffraction pattern
Compound: NaMn2Tl3F9
Radiation: Cu Kα (λ = 1.5418 Å)
Structure: a crystal structure in Alexandria, relaxed with PBE+U

Cell and atoms:
```
NaMn2Tl3F9
1.0
6.065 0.000 0.000
-3.033 5.253 0.000
0.000 0.000 7.464
Na Mn Tl F
1 2 3 9
Cartesian
0.000 0.000 0.000 Na
0.000 3.502 4.907 Mn
3.033 1.751 2.556 Mn
0.000 0.000 3.732 Tl
0.000 3.502 1.062 Tl
3.033 1.751 6.402 Tl
-1.516 2.626 3.732 F
0.000 1.851 6.075 F
-1.429 4.327 6.075 F
1.603 0.926 1.388 F
3.033 0.000 3.732 F
1.516 2.626 3.732 F
1.429 4.327 6.075 F
4.462 0.926 1.388 F
3.033 3.401 1.388 F
```

Most intense lines, 2θ from 10° to 80°, by angle:
2theta	I_rel
20.7	41
29.4	100
36.3	26
42.1	33
47.4	10
52.0	10
52.2	31
61.1	11

---

No. 8
Calculated powder X-ray diffraction pattern
Compound: Mn4Ni6F19
Radiation: Cu Kα (λ = 1.5418 Å)
Structure: a crystal structure in Alexandria, relaxed with PBE+U

Cell and atoms:
```
Mn4Ni6F19
1.0
-4.493 4.493 4.493
4.493 -4.493 4.493
4.493 4.493 -4.493
Mn Ni F
4 6 19
Cartesian
1.322 1.322 -1.322 Mn
1.322 -1.322 1.322 Mn
-1.322 1.322 1.322 Mn
3.171 3.171 3.171 Mn
4.493 1.473 0.000 Ni
4.493 0.000 3.020 Ni
3.020 4.493 0.000 Ni
1.473 0.000 4.493 Ni
0.000 4.493 1.473 Ni
0.000 3.020 4.493 Ni
0.000 0.000 0.000 F
2.982 0.000 0.000 F
6.004 0.000 0.000 F
4.971 -1.648 1.934 F
2.845 2.559 -0.478 F
2.559 -0.478 2.845 F
0.000 2.982 0.000 F
0.000 0.000 2.982 F
6.141 2.559 0.478 F
1.934 4.971 -1.648 F
4.015 1.648 1.934 F
-0.478 2.845 2.559 F
1.934 4.015 1.648 F
1.648 1.934 4.015 F
0.000 6.004 0.000 F
0.000 0.000 6.004 F
2.559 0.478 6.141 F
-1.648 1.934 4.971 F
0.478 6.141 2.559 F
```

Most intense lines, 2θ from 10° to 80°, by angle:
2theta	I_rel
19.8	29
24.3	75
31.5	100
37.4	65
42.7	31
49.7	32
51.9	74
62.0	38

---

No. 9
Calculated powder X-ray diffraction pattern
Compound: RbMnNiF6
Radiation: Cu Kα (λ = 1.5418 Å)
Structure: a crystal structure in Alexandria, relaxed with PBE+U

Cell and atoms:
```
RbMnNiF6
1.0
5.330 0.000 0.000
-2.556 4.685 0.000
-0.047 -0.060 6.093
Rb Mn Ni F
1 1 1 6
Cartesian
0.000 0.000 0.000 Rb
2.682 1.529 3.047 Mn
0.027 3.109 3.048 Ni
-1.558 2.907 1.878 F
-0.553 4.596 4.220 F
1.118 1.707 1.969 F
1.779 2.818 4.126 F
3.326 0.053 2.004 F
4.287 1.672 4.089 F
```

Most intense lines, 2θ from 10° to 80°, by angle:
2theta	I_rel
14.5	55
23.8	100
24.1	94
24.3	98
33.6	38
44.4	37
45.3	67
59.2	25

---

No. 10
Calculated powder X-ray diffraction pattern
Compound: Np2MnF11
Radiation: Cu Kα (λ = 1.5418 Å)
Structure: a crystal structure in Alexandria, relaxed with PBE+U

Cell and atoms:
```
Np2MnF11
1.0
-4.254 5.037 5.330
4.254 -5.037 5.330
4.254 5.037 -5.330
Np Mn F
4 2 22
Cartesian
1.274 1.875 0.000 Np
5.528 3.161 0.000 Np
-1.274 1.875 5.330 Np
2.980 3.161 5.330 Np
4.254 0.000 2.665 Mn
0.000 5.037 2.665 Mn
0.000 0.000 0.000 F
4.966 1.713 -1.484 F
6.224 -0.763 1.481 F
4.966 -1.713 3.846 F
3.114 -2.928 5.330 F
2.284 0.763 1.481 F
2.284 -0.763 3.849 F
3.114 2.928 0.000 F
4.966 1.713 1.484 F
1.970 5.800 -1.481 F
0.712 3.324 1.484 F
0.000 0.000 5.330 F
3.542 1.713 3.846 F
2.284 -0.763 6.811 F
-0.712 3.324 3.846 F
1.140 2.109 5.330 F
1.970 5.800 1.481 F
1.970 4.273 3.849 F
1.140 7.964 0.000 F
-0.712 6.749 1.484 F
-1.970 5.800 3.849 F
-0.712 3.324 6.814 F
```

Most intense lines, 2θ from 10° to 80°, by angle:
2theta	I_rel
16.6	71
17.6	25
21.6	33
22.1	58
24.2	100
24.3	48
34.1	27
45.2	31

---

What did the first record say?
Calculated powder X-ray diffraction pattern
Compound: NaMnOF
Radiation: Cu Kα (λ = 1.5418 Å)
Structure: a crystal structure in Alexandria, relaxed with PBE+U

Cell and atoms:
```
NaMnOF
1.0
1.641 0.947 5.441
-1.641 0.947 5.441
0.000 -1.895 5.441
Na Mn O F
1 1 1 1
Cartesian
0.000 0.000 0.000 Na
0.000 0.000 7.901 Mn
0.000 0.000 12.426 O
0.000 0.000 4.006 F
```

Most intense lines, 2θ from 10° to 80°, by angle:
2theta	I_rel
16.3	35
32.0	13
32.9	10
33.4	24
38.6	100
55.4	25
56.0	31
70.1	13